Theoretical powder diffractogram of Ca2TiWO6 for Cu Kα (λ = 1.5418 Å), from a crystal structure in the Materials Project, relaxed with PBE+U.
Peak positions follow from Bragg's law for the DFT cell and can differ from measured ones.

Principal peaks in the range 10 to 90 degrees two-theta, by angle:
Position (°2θ)	d_spacing	I_rel
19.51	4.551	66
22.26	3.993	100
22.38	3.972	46
31.12	2.874	46
31.59	2.832	94
31.96	2.800	91
32.25	2.776	45
45.42	1.997	66

Atomic structure:
```
Ca2TiWO6
1.0
4.8654 -2.7761 0.0000
4.8654 2.7761 0.0000
-3.3193 0.0000 4.6935
Ca Ti W O
2 1 1 6
Direct
0.0000 0.0000 0.0000
0.5006 0.5006 0.4961
0.2492 0.2492 0.7009
0.7491 0.7491 0.1985
0.0002 0.5061 0.9327
0.0045 0.4871 0.4424
0.0046 0.0046 0.4475
0.4871 0.0045 0.4424
0.4947 0.4947 0.9157
0.5061 0.0002 0.9327
```



Theoretical powder diffractogram of K3Rb5Mo12O40 for Cu Kα (λ = 1.5418 Å), from a crystal structure in the Materials Project, relaxed with PBE+U.
Peak positions follow from Bragg's law for the DFT cell and can differ from measured ones.

Principal peaks in the range 10 to 90 degrees two-theta, by angle:
Position (°2θ)	d_spacing	I_rel
12.19	7.263	100
12.53	7.064	54
24.28	3.666	73
24.60	3.619	52
25.22	3.532	62
26.14	3.410	97
26.50	3.363	91
31.08	2.878	49

Atomic structure:
```
K3Rb5Mo12O40
1.0
8.4229 0.0000 0.0000
2.2676 10.9530 0.0000
1.5454 0.7192 11.4145
K Rb Mo O
3 5 12 40
Direct
0.0000 0.0000 0.0000
0.1665 0.8790 0.4271
0.6666 0.3789 0.9271
0.0147 0.2424 0.6035
0.1518 0.6365 0.8236
0.5001 0.4997 0.5004
0.5147 0.7425 0.1035
0.6519 0.1365 0.3236
0.1811 0.2792 0.9051
0.2040 0.1526 0.2361
0.2905 0.4336 0.1728
0.3758 0.9453 0.7539
0.4626 0.2260 0.6912
0.4855 0.0998 0.0220
0.6813 0.7794 0.4050
0.7041 0.6527 0.7362
0.7908 0.9336 0.6732
0.8761 0.4453 0.2537
0.9626 0.7263 0.1910
0.9849 0.5999 0.5220
0.0177 0.4680 0.4432
0.0353 0.0822 0.2405
0.0719 0.5509 0.1968
0.0947 0.3280 0.2302
0.1313 0.7968 0.1866
0.1490 0.4109 0.9839
0.1779 0.6127 0.5552
0.2145 0.1557 0.0283
0.2428 0.1348 0.3816
0.2747 0.3449 0.7511
0.2770 0.1103 0.7749
0.2771 0.8608 0.8666
0.2973 0.9185 0.6294
0.3689 0.4603 0.2971
0.3895 0.5182 0.0604
0.3896 0.2686 0.1522
0.3919 0.0340 0.1760
0.4237 0.2437 0.5457
0.4520 0.2232 0.8988
0.4874 0.7671 0.3723
0.5176 0.9681 0.9432
0.5353 0.5823 0.7408
0.5720 0.0508 0.6969
0.5946 0.8281 0.7303
0.6313 0.2965 0.6868
0.6489 0.9110 0.4839
0.6793 0.1120 0.0548
0.7153 0.6564 0.5285
0.7429 0.6348 0.8817
0.7747 0.8450 0.2511
0.7769 0.6102 0.2749
0.7781 0.3602 0.3662
0.7973 0.4185 0.1294
0.8693 0.9604 0.7977
0.8894 0.0181 0.5605
0.8896 0.7687 0.6523
0.8918 0.5339 0.6761
0.9238 0.7442 0.0455
0.9521 0.7233 0.3987
0.9873 0.2670 0.8723
```



- Number 2 is which compound?
  K3Rb5Mo12O40